[1]
# Ca2CrFe
Theoretical powder X-ray diffraction pattern, Cu Kα X-rays. Input: a structure optimized by DFT (GGA-PBE).
Peak positions follow from Bragg's law for the DFT cell and can differ from measured ones.

Most intense lines, 5 to 70 degrees two-theta, sorted by position:
2θ/deg	d_spacing	intensity
16.03	5.530	61
30.47	2.933	88
31.11	2.875	100
37.13	2.421	55
38.88	2.316	91
40.44	2.230	45

Crystal structure
a = 4.843 Å, b = 3.774 Å, c = 6.031 Å
α = 90.00°, β = 113.53°, γ = 90.00°
Element x y z (fractional)
Ca1 0.000 0.000 0.000
Ca2 0.282 0.500 0.564
Cr1 0.691 0.000 0.383
Fe1 0.583 0.500 0.165

[2]
# CaCrFe4
Theoretical powder X-ray diffraction pattern, Cu Kα X-rays. Input: a structure optimized by DFT (GGA-PBE).
Peak positions follow from Bragg's law for the DFT cell and can differ from measured ones.

Most intense lines, 5 to 70 degrees two-theta, sorted by position:
2θ/deg	d_spacing	intensity
21.90	4.059	15
36.14	2.486	22
42.66	2.120	100
44.65	2.029	47
52.03	1.758	8
69.47	1.353	27

Crystal structure
a = 4.971 Å, b = 4.971 Å, c = 4.971 Å
α = 60.00°, β = 60.00°, γ = 60.00°
Element x y z (fractional)
Ca1 0.000 0.000 0.000
Cr1 0.750 0.750 0.750
Fe1 0.375 0.375 0.375
Fe2 0.375 0.375 0.874
Fe3 0.375 0.874 0.375
Fe4 0.874 0.375 0.375